Starting from a DFT-relaxed cell (PBE+U, Alexandria), the XRD peak list of Sr2CoWO6 was calculated for Cu Kα.
No peak broadening, texture or thermal motion is included.

Top 10 peaks for 2θ = 10–90°, by angle:
2θ/deg  d_spacing  intensity  h k l
19.1  4.637  35  0 1 1
31.4  2.848  100  1 1 2
31.7  2.824  53  2 0 1
37.3  2.412  13  1 -2 0
44.6  2.031  17  0 0 2
45.4  1.997  30  2 2 2
55.7  1.651  11  2 0 -1
55.8  1.647  11  2 0 3
56.2  1.637  16  3 1 1
56.3  1.634  26  3 1 3

Atomic structure:
```
10
Lattice="5.6427 0.0000 0.0000 0.0003 5.6515 0.0000 2.8166 2.8130 4.0624" Properties=species:S:1:pos:R:3 pbc="T T T"
Sr 1.4108 1.4029 0.0036
Sr 7.0488 7.0615 4.0588
Co 4.2297 1.4065 2.0312
W 1.4084 4.2322 2.0312
O 2.5137 2.6245 2.0337
O 1.4161 4.2409 0.0769
O 3.0164 5.3413 2.0370
O 5.4432 3.1231 2.0254
O 7.0435 4.2236 3.9855
O 5.9459 5.8400 2.0287
```